(1)
Structure and calculated powder diffractogram of LiIn6Hg5 (a cell relaxed with PBE; Cu Kα).
Lines closer than 0.1° are merged.

Main lines, most intense first (10° ≤ 2θ ≤ 90°):
| two_theta | I/Imax | hkl |
| --- | --- | --- |
| 36.4 | 100 | 0 2 2 |
| 32.0 | 74 | 1 -1 2 |
| 32.3 | 72 | 1 0 -3 |
| 34.8 | 62 | 1 2 -1 |
| 35.1 | 60 | 1 -3 0 |
| 43.7 | 34 | -2 1 1 |
| 58.2 | 22 | 2 -4 2 |
| 48.3 | 19 | 0 1 -5 |

Cell and atoms:
Cell: 4.142 8.633 9.757 Å, 108.65 101.77 103.52°
Space group P-1 (No. 2)
Inequivalent atoms, fractional coordinates:
Li 0.000 0.000 0.000 (multiplicity 1)
In 0.244 0.741 0.750 (multiplicity 2)
In 0.250 0.421 0.083 (multiplicity 2)
In 0.252 0.085 0.415 (multiplicity 2)
Hg 0.001 0.319 0.679 (multiplicity 2)
Hg 0.498 0.854 0.137 (multiplicity 2)
Hg 0.500 0.500 0.500 (multiplicity 1)

(2)
Structure and calculated powder diffractogram of Pa3Sb3P (a cell relaxed with PBE; Cu Kα).
Lines closer than 0.1° are merged.

Main lines, most intense first (10° ≤ 2θ ≤ 90°):
| two_theta | I/Imax | hkl |
| --- | --- | --- |
| 33.9 | 100 | 1 3 2 |
| 26.7 | 76 | 1 3 1 |
| 26.0 | 30 | 1 3 -1 |
| 42.2 | 27 | 2 4 -2 |
| 33.5 | 26 | 3 1 0 |
| 16.8 | 22 | 1 1 -1 |
| 35.7 | 21 | 2 4 0 |
| 34.8 | 19 | 3 1 -1 |

Cell and atoms:
Cell: 8.228 12.720 7.674 Å, 90.00 93.95 90.00°
Space group C2/m (No. 12)
Inequivalent atoms, fractional coordinates:
Pa 0.046 0.000 0.279 (multiplicity 4)
Pa 0.195 0.345 0.224 (multiplicity 8)
Sb 0.000 0.179 0.000 (multiplicity 4)
Sb 0.000 0.220 0.500 (multiplicity 4)
Sb 0.111 0.500 0.861 (multiplicity 4)
P 0.233 0.500 0.451 (multiplicity 4)

(3)
Structure and calculated powder diffractogram of TaPdSe4 (a cell relaxed with PBE; Cu Kα).
Lines closer than 0.1° are merged.

Main lines, most intense first (10° ≤ 2θ ≤ 90°):
| two_theta | I/Imax | hkl |
| --- | --- | --- |
| 33.9 | 100 | 1 1 1 |
| 13.5 | 88 | 0 0 1 |
| 46.8 | 26 | 1 1 -3 |
| 28.7 | 23 | 1 1 0 |
| 50.5 | 21 | 3 1 -1 |
| 43.2 | 19 | 2 0 -3 |
| 47.1 | 13 | 2 0 2 |
| 61.8 | 11 | 2 2 -2 |

Cell and atoms:
Cell: 6.248 3.644 6.899 Å, 90.00 107.87 90.00°
Space group P2/m (No. 10)
Inequivalent atoms, fractional coordinates:
Ta 0.000 0.000 0.000 (multiplicity 1)
Pd 0.500 0.500 0.000 (multiplicity 1)
Se 0.251 0.500 0.235 (multiplicity 2)
Se 0.255 0.000 0.770 (multiplicity 2)